Record 1
For MgO, the GGA-PBE geometry in Alexandria gives the calculated PXRD pattern in this record (CuKα).
Peak positions follow from Bragg's law for the DFT cell and can differ from measured ones.

Main lines, sorted by position (10° ≤ 2θ ≤ 90°):
2θ (°)  I (rel.)
17.97  100.0
25.52  26.6
40.88  50.8
43.05  34.2
52.43  24.6
55.88  22.1
60.87  26.4
70.10  17.9

```
data_MgO
_cell_length_a 6.980
_cell_length_b 6.980
_cell_length_c 4.202
_cell_angle_alpha 90.00
_cell_angle_beta 90.00
_cell_angle_gamma 90.00
_space_group_name_H-M_alt 'I 4/m c m'
_space_group_IT_number 140
_space_group_name_Hall '-I 4 2c'
loop_
_atom_site_label
_atom_site_fract_x
_atom_site_fract_y
_atom_site_fract_z
Mg1 0.148 0.352 0.000
O1 0.149 0.351 0.500
```

***

Record 2
For Mo3Ru2Pt2, the GGA-PBE geometry in Alexandria gives the calculated PXRD pattern in this record (CuKα).
Peak positions follow from Bragg's law for the DFT cell and can differ from measured ones.

Main lines, sorted by position (10° ≤ 2θ ≤ 90°):
2θ (°)  I (rel.)
21.96  19.9
39.76  99.1
40.03  100.0
43.68  40.9
43.95  44.8
51.28  17.7
63.69  29.5
82.49  24.6

```
data_Mo3Ru2Pt2
_cell_length_a 4.145
_cell_length_b 18.780
_cell_length_c 2.736
_cell_angle_alpha 90.00
_cell_angle_beta 90.00
_cell_angle_gamma 90.00
_space_group_name_H-M_alt 'C m m m'
_space_group_IT_number 65
_space_group_name_Hall '-C 2 2'
loop_
_atom_site_label
_atom_site_fract_x
_atom_site_fract_y
_atom_site_fract_z
Mo1 0.000 0.000 0.000
Mo2 0.000 0.153 0.000
Ru1 0.000 0.287 0.500
Pt1 0.000 0.428 0.500
```

***

Record 3
For Zn4CdS5, the GGA-PBE geometry in Alexandria gives the calculated PXRD pattern in this record (CuKα).
Peak positions follow from Bragg's law for the DFT cell and can differ from measured ones.

Main lines, sorted by position (10° ≤ 2θ ≤ 90°):
2θ (°)  I (rel.)
26.35  81.6
27.66  47.0
29.83  100.0
38.57  30.0
46.51  63.5
50.28  49.9
54.98  37.9
89.12  18.8

```
data_Zn4CdS5
_cell_length_a 3.9049
_cell_length_b 3.9049
_cell_length_c 32.2544
_cell_angle_alpha 90.00
_cell_angle_beta 90.00
_cell_angle_gamma 120.00
_space_group_name_H-M_alt 'P 3 m 1'
_space_group_IT_number 156
loop_
_space_group_symop_operation_xyz
'x,y,z'
'-y,x-y,z'
'-x+y,-x,z'
'-y,-x,z'
'-x+y,y,z'
'x,x-y,z'
loop_
_atom_site_label
_atom_site_fract_x
_atom_site_fract_y
_atom_site_fract_z
Zn1 0.0000 0.0000 0.0000
Zn2 0.0000 0.0000 0.1936
Zn3 0.0000 0.0000 0.3875
Zn4 0.0000 0.0000 0.5814
Zn5 0.0000 0.0000 0.7908
Zn6 0.6667 0.3333 0.0967
Zn7 0.6667 0.3333 0.2906
Zn8 0.6667 0.3333 0.4845
Cd1 0.6667 0.3333 0.6843
Cd2 0.6667 0.3333 0.8935
S1 0.0000 0.0000 0.1204
S2 0.0000 0.0000 0.3143
S3 0.0000 0.0000 0.5082
S4 0.0000 0.0000 0.7180
S5 0.0000 0.0000 0.9272
S6 0.6667 0.3333 0.0235
S7 0.6667 0.3333 0.2174
S8 0.6667 0.3333 0.4113
S9 0.6667 0.3333 0.6052
S10 0.6667 0.3333 0.8144
```

***

Record 4
For AcMgH6Os, the GGA-PBE geometry in Alexandria gives the calculated PXRD pattern in this record (CuKα).
Peak positions follow from Bragg's law for the DFT cell and can differ from measured ones.

Main lines, sorted by position (10° ≤ 2θ ≤ 90°):
2θ (°)  I (rel.)
21.21  25.9
28.53  100.0
37.17  36.9
38.26  11.1
47.52  25.5
54.41  25.5
61.83  23.5
63.33  10.9

```
data_AcMgH6Os
_cell_length_a 4.8371
_cell_length_b 4.8371
_cell_length_c 4.7043
_cell_angle_alpha 90.00
_cell_angle_beta 90.00
_cell_angle_gamma 120.00
_space_group_name_H-M_alt 'P -6 m 2'
_space_group_IT_number 187
_space_group_name_Hall 'P -6 2'
loop_
_atom_site_label
_atom_site_fract_x
_atom_site_fract_y
_atom_site_fract_z
Ac1 0.0000 0.0000 0.0000
Mg1 0.3333 0.6667 0.5000
H1 0.5205 0.0409 0.2407
Os1 0.6667 0.3333 0.5000
```

***

Record 5
For Pm8IrPt5, the GGA-PBE geometry in Alexandria gives the calculated PXRD pattern in this record (CuKα).
Peak positions follow from Bragg's law for the DFT cell and can differ from measured ones.

Main lines, sorted by position (10° ≤ 2θ ≤ 90°):
2θ (°)  I (rel.)
31.56  50.7
31.67  100.0
37.63  79.1
45.39  17.4
47.69  19.9
52.17  26.4
64.26  26.5
78.70  20.0

```
data_Pm8IrPt5
_cell_length_a 8.932
_cell_length_b 8.932
_cell_length_c 8.968
_cell_angle_alpha 90.00
_cell_angle_beta 90.00
_cell_angle_gamma 90.00
_space_group_name_H-M_alt 'I -4'
_space_group_IT_number 82
loop_
_space_group_symop_operation_xyz
'x,y,z'
'y,-x,-z'
'-x,-y,z'
'-y,x,-z'
'x+1/2,y+1/2,z+1/2'
'y+1/2,-x+1/2,-z+1/2'
'-x+1/2,-y+1/2,z+1/2'
'-y+1/2,x+1/2,-z+1/2'
loop_
_atom_site_label
_atom_site_fract_x
_atom_site_fract_y
_atom_site_fract_z
Pm1 0.059 0.307 0.438
Pm2 0.061 0.187 0.811
Ir1 0.000 0.000 0.500
Pt1 0.000 0.500 0.750
Pt2 0.124 0.249 0.124
```

***

Record 6
For Pr8Ga2Co, the GGA-PBE geometry in Alexandria gives the calculated PXRD pattern in this record (CuKα).
Peak positions follow from Bragg's law for the DFT cell and can differ from measured ones.

Main lines, sorted by position (10° ≤ 2θ ≤ 90°):
2θ (°)  I (rel.)
27.63  44.1
29.36  24.2
30.21  84.7
31.03  100.0
32.49  51.8
32.63  24.6
35.85  64.4
60.94  35.9

```
data_Pr8Ga2Co
_cell_length_a 18.637
_cell_length_b 5.009
_cell_length_c 7.051
_cell_angle_alpha 90.00
_cell_angle_beta 100.39
_cell_angle_gamma 90.00
_space_group_name_H-M_alt 'C 1 2/m 1'
_space_group_IT_number 12
loop_
_space_group_symop_operation_xyz
'x,y,z'
'-x,-y,-z'
'-x,y,-z'
'x,-y,z'
'x+1/2,y+1/2,z'
'-x+1/2,-y+1/2,-z'
'-x+1/2,y+1/2,-z'
'x+1/2,-y+1/2,z'
loop_
_atom_site_label
_atom_site_fract_x
_atom_site_fract_y
_atom_site_fract_z
Pr1 0.017 0.000 0.280
Pr2 0.093 0.500 0.965
Pr3 0.149 0.500 0.481
Pr4 0.210 0.000 0.809
Ga1 0.186 0.000 0.243
Co1 0.000 0.500 0.500
```

***

Record 7
For NaLa9Ge6O26, the GGA-PBE geometry in Alexandria gives the calculated PXRD pattern in this record (CuKα).
Peak positions follow from Bragg's law for the DFT cell and can differ from measured ones.

Main lines, sorted by position (10° ≤ 2θ ≤ 90°):
2θ (°)  I (rel.)
24.35  21.1
26.48  21.0
27.31  26.2
29.97  100.0
30.32  44.6
31.06  27.6
43.95  23.7
46.50  33.9

```
data_NaLa9Ge6O26
_cell_length_a 9.9753
_cell_length_b 9.9753
_cell_length_c 7.3106
_cell_angle_alpha 90.00
_cell_angle_beta 90.00
_cell_angle_gamma 120.00
_space_group_name_H-M_alt 'P 3'
_space_group_IT_number 143
loop_
_space_group_symop_operation_xyz
'x,y,z'
'-y,x-y,z'
'-x+y,-x,z'
loop_
_atom_site_label
_atom_site_fract_x
_atom_site_fract_y
_atom_site_fract_z
Na1 0.0000 0.0000 0.0000
La1 0.0000 0.0000 0.5079
La2 0.3333 0.6667 0.0108
La3 0.3333 0.6667 0.5091
La4 0.4266 0.1008 0.7608
La5 0.4372 0.3405 0.2575
Ge1 0.0398 0.3027 0.2578
Ge2 0.0644 0.7069 0.7582
O1 0.0126 0.5816 0.9509
O2 0.0140 0.5791 0.5663
O3 0.0597 0.8553 0.2586
O4 0.1642 0.5071 0.2602
O5 0.1841 0.1565 0.7537
O6 0.1925 0.4639 0.7611
O7 0.3190 0.0820 0.4545
O8 0.3578 0.0967 0.0800
O9 0.6667 0.3333 0.2818
O10 0.6667 0.3333 0.7634
```

***

Record 8
For La6Mg15Cd8, the GGA-PBE geometry in Alexandria gives the calculated PXRD pattern in this record (CuKα).
Peak positions follow from Bragg's law for the DFT cell and can differ from measured ones.

Main lines, sorted by position (10° ≤ 2θ ≤ 90°):
2θ (°)  I (rel.)
21.31  27.0
26.91  33.5
30.31  12.9
32.20  44.2
35.15  100.0
51.81  15.0
63.06  21.6
67.02  15.2

```
data_La6Mg15Cd8
_cell_length_a 14.445
_cell_length_b 14.445
_cell_length_c 14.445
_cell_angle_alpha 90.00
_cell_angle_beta 90.00
_cell_angle_gamma 90.00
_space_group_name_H-M_alt 'F m -3 m'
_space_group_IT_number 225
_space_group_name_Hall '-F 4 2 3'
loop_
_atom_site_label
_atom_site_fract_x
_atom_site_fract_y
_atom_site_fract_z
La1 0.000 0.000 0.216
Mg1 0.000 0.000 0.500
Mg2 0.000 0.250 0.250
Mg3 0.170 0.170 0.170
Cd1 0.124 0.124 0.376
```

***

Record 9
For SrIn12Hg7, the GGA-PBE geometry in Alexandria gives the calculated PXRD pattern in this record (CuKα).
Peak positions follow from Bragg's law for the DFT cell and can differ from measured ones.

Main lines, sorted by position (10° ≤ 2θ ≤ 90°):
2θ (°)  I (rel.)
29.61  22.9
31.97  100.0
32.30  38.1
32.73  33.8
37.06  42.8
39.07  22.4
44.32  19.2
54.44  13.8

```
data_SrIn12Hg7
_cell_length_a 14.8241
_cell_length_b 14.8241
_cell_length_c 8.8326
_cell_angle_alpha 90.00
_cell_angle_beta 90.00
_cell_angle_gamma 120.00
_space_group_name_H-M_alt 'R -3'
_space_group_IT_number 148
_space_group_name_Hall '-R 3'
loop_
_atom_site_label
_atom_site_fract_x
_atom_site_fract_y
_atom_site_fract_z
Sr1 0.0000 0.0000 0.0000
In1 0.0191 0.2586 0.0677
In2 0.0732 0.2402 0.4165
Hg1 0.0000 0.0000 0.5000
Hg2 0.0550 0.2005 0.7555
```

***

Record 10
For Mn3Fe7, the GGA-PBE geometry in Alexandria gives the calculated PXRD pattern in this record (CuKα).
Peak positions follow from Bragg's law for the DFT cell and can differ from measured ones.

Main lines, sorted by position (10° ≤ 2θ ≤ 90°):
2θ (°)  I (rel.)
40.89  91.0
45.43  93.1
47.50  41.7
47.78  100.0
49.57  19.9
74.36  20.2
74.81  18.3
87.12  27.2

```
data_Mn3Fe7
_cell_length_a 7.6566
_cell_length_b 7.6566
_cell_length_c 4.6501
_cell_angle_alpha 90.00
_cell_angle_beta 90.00
_cell_angle_gamma 120.00
_space_group_name_H-M_alt 'P 63 m c'
_space_group_IT_number 186
_space_group_name_Hall 'P 6c -2c'
loop_
_atom_site_label
_atom_site_fract_x
_atom_site_fract_y
_atom_site_fract_z
Mn1 0.2201 0.4403 0.0000
Fe1 0.0019 0.5009 0.2552
Fe2 0.1231 0.2463 0.5003
Fe3 0.3333 0.6667 0.5013
```

***

Record 11
For Pr8Ho5Th, the GGA-PBE geometry in Alexandria gives the calculated PXRD pattern in this record (CuKα).
Peak positions follow from Bragg's law for the DFT cell and can differ from measured ones.

Main lines, sorted by position (10° ≤ 2θ ≤ 90°):
2θ (°)  I (rel.)
28.98  16.9
29.19  22.5
31.03  47.5
31.23  42.3
31.50  66.4
31.96  100.0
33.34  30.9
33.65  26.7

```
data_Pr8Ho5Th
_cell_length_a 8.596
_cell_length_b 8.725
_cell_length_c 8.747
_cell_angle_alpha 113.63
_cell_angle_beta 117.44
_cell_angle_gamma 97.17
_space_group_name_H-M_alt 'P 1'
_space_group_IT_number 1
loop_
_space_group_symop_operation_xyz
'x,y,z'
loop_
_atom_site_label
_atom_site_fract_x
_atom_site_fract_y
_atom_site_fract_z
Pr1 0.000 0.000 0.000
Pr2 0.025 0.818 0.436
Pr3 0.170 0.492 0.145
Pr4 0.232 0.298 0.535
Pr5 0.352 0.141 0.895
Pr6 0.484 0.756 0.660
Pr7 0.611 0.387 0.431
Pr8 0.665 0.969 0.155
Ho1 0.139 0.652 0.804
Ho2 0.403 0.957 0.366
Ho3 0.755 0.550 0.904
Ho4 0.842 0.357 0.199
Ho5 0.896 0.183 0.665
Th1 0.548 0.604 0.163
```